The following is a theoretical XRD peak list of ThZnGa2Pd. It was derived from a structure optimized by DFT (PBE), using Cu Kα (λ = 1.5418 Å).
Intensities are scaled so that the largest is 100.

Crystal structure
a b c (Å): 6.0566 6.0566 6.0566
angles (deg): 138.59 138.59 60.00
Element x y z (fractional)
Th 0.0000 0.0000 0.0000
Zn 0.2500 0.7500 0.5000
Ga 0.3823 0.3823 0.0000
Ga 0.6177 0.6177 0.0000
Pd 0.7500 0.2500 0.5000

Largest 10 diffraction maxima, sorted by position, 10° ≤ 2θ ≤ 80°:
2θ 22.42, d 3.965, intensity 21
2θ 29.49, d 3.028, intensity 14
2θ 33.07, d 2.709, intensity 57
2θ 34.19, d 2.623, intensity 100
2θ 42.20, d 2.141, intensity 44
2θ 48.30, d 1.884, intensity 31
2θ 54.63, d 1.680, intensity 28
2θ 61.21, d 1.514, intensity 28
2θ 66.05, d 1.415, intensity 23
2θ 72.01, d 1.311, intensity 29

=====

The following is a theoretical XRD peak list of Ti2Ga3Pd. It was derived from a structure optimized by DFT (PBE), using Cu Kα (λ = 1.5418 Å).
Intensities are scaled so that the largest is 100.

Crystal structure
a b c (Å): 5.0267 5.0267 8.7277
angles (deg): 90.00 90.00 61.47
Element x y z (fractional)
Ti 0.0136 0.3152 0.2500
Ti 0.3152 0.0136 0.7500
Ti 0.6848 0.9864 0.2500
Ti 0.9864 0.6848 0.7500
Ga 0.0000 0.0000 0.0000
Ga 0.0000 0.0000 0.5000
Ga 0.3362 0.3362 0.0000
Ga 0.3362 0.3362 0.5000
Ga 0.6638 0.6638 0.0000
Ga 0.6638 0.6638 0.5000
Pd 0.3639 0.6361 0.2500
Pd 0.6361 0.3639 0.7500

Largest 10 diffraction maxima, sorted by position, 10° ≤ 2θ ≤ 80°:
2θ 34.92, d 2.569, intensity 8
2θ 36.46, d 2.465, intensity 17
2θ 37.24, d 2.414, intensity 21
2θ 40.76, d 2.214, intensity 23
2θ 41.45, d 2.179, intensity 100
2θ 47.20, d 1.926, intensity 8
2θ 47.83, d 1.902, intensity 10
2θ 63.16, d 1.472, intensity 13
2θ 75.53, d 1.259, intensity 12
2θ 78.35, d 1.220, intensity 14